Computed X-ray diffraction stick pattern of AlFeCoS4 for Cu Kα (weighted mean of Kα1 and Kα2), from DFT lattice parameters and positions (PBE).
Intensities are scaled so that the largest is 100.

Most intense lines, 2θ = 10–90°, by angle:
two_theta, I/Imax, hkl
30.42, 100.0, 2 1 1
30.59, 52.5, 1 0 3
36.87, 52.8, 2 2 0
48.52, 48.6, 3 2 1
53.13, 49.9, 4 0 0
53.34, 99.7, 2 2 4

Structural model:
```
data_AlFeCoS4
_cell_length_a 6.896
_cell_length_b 6.896
_cell_length_c 9.678
_cell_angle_alpha 90.00
_cell_angle_beta 90.00
_cell_angle_gamma 90.00
_space_group_name_H-M_alt 'P 41 2 2'
_space_group_IT_number 91
loop_
_space_group_symop_operation_xyz
'x,y,z'
'-y,x,z+1/4'
'-x,-y,z+1/2'
'y,-x,z+3/4'
'x,-y,-z+1/2'
'-y,-x,-z+1/4'
'-x,y,-z'
'y,x,-z+3/4'
loop_
_atom_site_label
_atom_site_type_symbol
_atom_site_fract_x
_atom_site_fract_y
_atom_site_fract_z
Al1 Al 0.000 0.255 0.000
Fe1 Fe 0.253 0.253 0.375
Co1 Co 0.255 0.500 0.750
S1 S 0.024 0.261 0.753
S2 S 0.263 0.483 0.986
```



Computed X-ray diffraction stick pattern of SmDyFe2B2C2 for Cu Kα (weighted mean of Kα1 and Kα2), from DFT lattice parameters and positions (PBE).
Intensities are scaled so that the largest is 100.

Most intense lines, 2θ = 10–90°, by angle:
two_theta, I/Imax, hkl
27.39, 100.0, 1 0 1
33.78, 77.3, 1 0 2
33.91, 50.1, 0 0 3
37.37, 65.3, 1 1 1
42.44, 43.8, 1 1 2
62.76, 58.8, 2 0 3

Structural model:
```
data_SmDyFe2B2C2
_cell_length_a 3.571
_cell_length_b 3.571
_cell_length_c 7.931
_cell_angle_alpha 90.00
_cell_angle_beta 90.00
_cell_angle_gamma 90.00
_space_group_name_H-M_alt 'P 4 m m'
_space_group_IT_number 99
loop_
_space_group_symop_operation_xyz
'x,y,z'
'-y,x,z'
'-x,-y,z'
'y,-x,z'
'-x,y,z'
'y,x,z'
'x,-y,z'
'-y,-x,z'
loop_
_atom_site_label
_atom_site_type_symbol
_atom_site_fract_x
_atom_site_fract_y
_atom_site_fract_z
Sm1 Sm 0.000 0.000 0.000
Dy1 Dy 0.500 0.500 0.672
Fe1 Fe 0.000 0.500 0.336
B1 B 0.000 0.000 0.498
B2 B 0.500 0.500 0.172
C1 C 0.000 0.000 0.686
C2 C 0.500 0.500 0.983
```



Computed X-ray diffraction stick pattern of Fe3Pd3Cl2 for Cu Kα (weighted mean of Kα1 and Kα2), from DFT lattice parameters and positions (PBE).
Intensities are scaled so that the largest is 100.

Most intense lines, 2θ = 10–90°, by angle:
two_theta, I/Imax, hkl
13.87, 100.0, 0 0 2
27.94, 48.2, 0 0 4
35.75, 60.4, 1 1 0
38.51, 75.1, 1 1 2
51.45, 35.7, 2 0 0
56.68, 42.6, 1 1 6

Structural model:
```
data_Fe3Pd3Cl2
_cell_length_a 3.552
_cell_length_b 3.552
_cell_length_c 12.774
_cell_angle_alpha 90.00
_cell_angle_beta 90.00
_cell_angle_gamma 90.00
_space_group_name_H-M_alt 'P -4 m 2'
_space_group_IT_number 115
loop_
_space_group_symop_operation_xyz
'x,y,z'
'y,-x,-z'
'-x,-y,z'
'-y,x,-z'
'-x,y,z'
'-y,-x,-z'
'x,-y,z'
'y,x,-z'
loop_
_atom_site_label
_atom_site_type_symbol
_atom_site_fract_x
_atom_site_fract_y
_atom_site_fract_z
Fe1 Fe 0.000 0.000 0.000
Fe2 Fe 0.000 0.000 0.175
Pd1 Pd 0.000 0.000 0.500
Pd2 Pd 0.500 0.500 0.000
Pd3 Pd 0.500 0.500 0.500
Cl1 Cl 0.000 0.500 0.714
```



Computed X-ray diffraction stick pattern of HfZr3As4 for Cu Kα (weighted mean of Kα1 and Kα2), from DFT lattice parameters and positions (PBE).
Intensities are scaled so that the largest is 100.

Most intense lines, 2θ = 10–90°, by angle:
two_theta, I/Imax, hkl
30.32, 33.0, 0 1 2
34.15, 100.0, 0 1 3
38.95, 32.0, 0 1 4
44.47, 26.8, 1 0 5
47.52, 55.0, 1 1 0
77.35, 25.4, 1 1 8

Structural model:
```
data_HfZr3As4
_cell_length_a 3.8267
_cell_length_b 3.8267
_cell_length_c 12.9129
_cell_angle_alpha 90.00
_cell_angle_beta 90.00
_cell_angle_gamma 120.00
_space_group_name_H-M_alt 'P 3 m 1'
_space_group_IT_number 156
loop_
_space_group_symop_operation_xyz
'x,y,z'
'-y,x-y,z'
'-x+y,-x,z'
'-y,-x,z'
'-x+y,y,z'
'x,x-y,z'
loop_
_atom_site_label
_atom_site_type_symbol
_atom_site_fract_x
_atom_site_fract_y
_atom_site_fract_z
Hf1 Hf 0.0000 0.0000 0.0000
Zr1 Zr 0.0000 0.0000 0.7348
Zr2 Zr 0.6667 0.3333 0.2330
Zr3 Zr 0.6667 0.3333 0.5011
As1 As 0.0000 0.0000 0.3669
As2 As 0.3333 0.6667 0.1144
As3 As 0.3333 0.6667 0.6179
As4 As 0.6667 0.3333 0.8701
```



Computed X-ray diffraction stick pattern of Sc5Co4Si10 for Cu Kα (weighted mean of Kα1 and Kα2), from DFT lattice parameters and positions (PBE).
Intensities are scaled so that the largest is 100.

Most intense lines, 2θ = 10–90°, by angle:
two_theta, I/Imax, hkl
20.95, 51.2, 2 2 0
37.73, 100.0, 4 0 1
38.27, 42.4, 5 1 0
38.50, 59.9, 4 1 1
39.25, 98.8, 3 3 1
46.18, 74.9, 0 0 2

Structural model:
```
data_Sc5Co4Si10
_cell_length_a 11.993
_cell_length_b 11.993
_cell_length_c 3.931
_cell_angle_alpha 90.00
_cell_angle_beta 90.00
_cell_angle_gamma 90.00
_space_group_name_H-M_alt 'P 4/m b m'
_space_group_IT_number 127
_space_group_name_Hall '-P 4 2ab'
loop_
_atom_site_label
_atom_site_type_symbol
_atom_site_fract_x
_atom_site_fract_y
_atom_site_fract_z
Sc1 Sc 0.000 0.000 0.000
Sc2 Sc 0.112 0.388 0.500
Sc3 Sc 0.176 0.676 0.500
Co1 Co 0.024 0.754 0.000
Si1 Si 0.002 0.836 0.500
Si2 Si 0.068 0.568 0.000
Si3 Si 0.157 0.198 0.000
```



Computed X-ray diffraction stick pattern of CuTeCl for Cu Kα (weighted mean of Kα1 and Kα2), from DFT lattice parameters and positions (PBE).
Intensities are scaled so that the largest is 100.

Most intense lines, 2θ = 10–90°, by angle:
two_theta, I/Imax, hkl
20.30, 100.0, 1 0 1
22.66, 35.6, 2 1 1
26.80, 66.1, 3 2 1
36.53, 55.0, 6 4 0
36.69, 41.3, 6 1 1
39.49, 37.3, 6 3 1

Structural model:
```
data_CuTeCl
_cell_length_a 17.739
_cell_length_b 17.739
_cell_length_c 4.514
_cell_angle_alpha 90.00
_cell_angle_beta 90.00
_cell_angle_gamma 90.00
_space_group_name_H-M_alt 'I 41/a m d'
_space_group_IT_number 141
loop_
_space_group_symop_operation_xyz
'x,y,z'
'-x,-y,-z'
'-y+1/4,x+3/4,z+1/4'
'y+1/4,-x+3/4,-z+1/4'
'-x+1/2,-y,z+1/2'
'x+1/2,y,-z+1/2'
'y+1/4,-x+1/4,z+3/4'
'-y+1/4,x+1/4,-z+3/4'
'x,-y,-z'
'-x,y,z'
'-y+1/4,-x+1/4,-z+3/4'
'y+1/4,x+1/4,z+3/4'
'-x+1/2,y,-z+1/2'
'x+1/2,-y,z+1/2'
'y+1/4,x+3/4,-z+1/4'
'-y+1/4,-x+3/4,z+1/4'
'x+1/2,y+1/2,z+1/2'
'-x+1/2,-y+1/2,-z+1/2'
'-y+3/4,x+1/4,z+3/4'
'y+3/4,-x+1/4,-z+3/4'
'-x,-y+1/2,z'
'x,y+1/2,-z'
'y+3/4,-x+3/4,z+1/4'
'-y+3/4,x+3/4,-z+1/4'
'x+1/2,-y+1/2,-z+1/2'
'-x+1/2,y+1/2,z+1/2'
'-y+3/4,-x+3/4,-z+1/4'
'y+3/4,x+3/4,z+1/4'
'-x,y+1/2,-z'
'x,-y+1/2,z'
'y+3/4,x+1/4,-z+3/4'
'-y+3/4,-x+1/4,z+3/4'
loop_
_atom_site_label
_atom_site_type_symbol
_atom_site_fract_x
_atom_site_fract_y
_atom_site_fract_z
Cu1 Cu 0.104 0.146 0.375
Te1 Te 0.147 0.000 0.500
Cl1 Cl 0.000 0.126 0.642
```



What did the second record say?
Computed X-ray diffraction stick pattern of SmDyFe2B2C2 for Cu Kα (weighted mean of Kα1 and Kα2), from DFT lattice parameters and positions (PBE).
Intensities are scaled so that the largest is 100.

Most intense lines, 2θ = 10–90°, by angle:
two_theta, I/Imax, hkl
27.39, 100.0, 1 0 1
33.78, 77.3, 1 0 2
33.91, 50.1, 0 0 3
37.37, 65.3, 1 1 1
42.44, 43.8, 1 1 2
62.76, 58.8, 2 0 3

Structural model:
```
data_SmDyFe2B2C2
_cell_length_a 3.571
_cell_length_b 3.571
_cell_length_c 7.931
_cell_angle_alpha 90.00
_cell_angle_beta 90.00
_cell_angle_gamma 90.00
_space_group_name_H-M_alt 'P 4 m m'
_space_group_IT_number 99
loop_
_space_group_symop_operation_xyz
'x,y,z'
'-y,x,z'
'-x,-y,z'
'y,-x,z'
'-x,y,z'
'y,x,z'
'x,-y,z'
'-y,-x,z'
loop_
_atom_site_label
_atom_site_type_symbol
_atom_site_fract_x
_atom_site_fract_y
_atom_site_fract_z
Sm1 Sm 0.000 0.000 0.000
Dy1 Dy 0.500 0.500 0.672
Fe1 Fe 0.000 0.500 0.336
B1 B 0.000 0.000 0.498
B2 B 0.500 0.500 0.172
C1 C 0.000 0.000 0.686
C2 C 0.500 0.500 0.983
```